No. 1
Computed X-ray powder pattern
Compound: NaTcIO6
Radiation: Cu Kα, 1.54184 Å
Structure: a structure optimized by DFT (GGA-PBE)
Kinematic intensities with the Lorentz-polarization factor, no thermal factor.

Structural model:
```
data_NaTcIO6
_symmetry_space_group_name_H-M 'P 1'
_symmetry_Int_Tables_number 1
_cell_length_a 5.0633
_cell_length_b 5.4022
_cell_length_c 5.6400
_cell_angle_alpha 118.04
_cell_angle_beta 90.57
_cell_angle_gamma 90.38
loop_
_symmetry_equiv_pos_as_xyz
'x,y,z'
loop_
_atom_site_label
_atom_site_type_symbol
_atom_site_fract_x
_atom_site_fract_y
_atom_site_fract_z
_atom_site_occupancy
Na1 Na 0.0000 0.0000 0.0000 1
Tc1 Tc 0.4768 0.3320 0.6639 1
I1 I 0.5702 0.6529 0.3169 1
O1 O 0.3076 0.2932 0.3640 1
O2 O 0.3220 0.6328 0.9120 1
O3 O 0.3441 0.0409 0.6920 1
O4 O 0.7483 0.5749 0.5734 1
O5 O 0.7524 0.4051 0.0107 1
O6 O 0.7583 0.9807 0.3896 1
```

Most intense lines, 15 to 90 degrees two-theta, low angle first:
(hkl)  2θ/deg  I_rel
1 0 0  17.52  100
0 1 0  18.61  22
1 0 1  25.28  35
1 -1 0  25.50  36
1 1 -1  25.78  45
0 1 1  31.50  21
-1 1 1  36.02  23
1 0 -2  40.15  24


No. 2
Computed X-ray powder pattern
Compound: Na2YIO6
Radiation: Cu Kα, 1.54184 Å
Structure: a structure optimized by DFT (GGA-PBE)
Kinematic intensities with the Lorentz-polarization factor, no thermal factor.

Structural model:
```
data_Na2YIO6
_symmetry_space_group_name_H-M 'P 1 21/c 1'
_symmetry_Int_Tables_number 14
_cell_length_a 5.6467
_cell_length_b 5.7447
_cell_length_c 9.8257
_cell_angle_alpha 90.00
_cell_angle_beta 124.97
_cell_angle_gamma 90.00
loop_
_symmetry_equiv_pos_as_xyz
'x,y,z'
'-x,-y,-z'
'-x,y+1/2,-z+1/2'
'x,-y+1/2,z+1/2'
loop_
_atom_site_label
_atom_site_type_symbol
_atom_site_fract_x
_atom_site_fract_y
_atom_site_fract_z
_atom_site_occupancy
Na1 Na 0.2435 0.0345 0.2512 1
Y1 Y 0.5000 0.0000 0.0000 1
I1 I 0.0000 0.0000 0.5000 1
O1 O 0.1314 0.2293 0.9507 1
O2 O 0.2282 0.6870 0.9575 1
O3 O 0.3149 0.0282 0.7269 1
```

Most intense lines, 15 to 90 degrees two-theta, low angle first:
(hkl)  2θ/deg  I_rel
1 1 -1  22.08  100
0 2 0  31.14  20
1 1 -3  31.42  78
2 0 -2  31.69  18
0 0 4  45.03  38
2 2 -4  50.70  27
1 3 -3  55.58  16
1 1 -7  74.52  13


No. 3
Computed X-ray powder pattern
Compound: NaY2IO6
Radiation: Cu Kα, 1.54184 Å
Structure: a structure optimized by DFT (GGA-PBE)
Kinematic intensities with the Lorentz-polarization factor, no thermal factor.

Structural model:
```
data_NaY2IO6
_symmetry_space_group_name_H-M 'R 3'
_symmetry_Int_Tables_number 146
_symmetry_space_group_name_Hall 'R 3'
_cell_length_a 5.8707
_cell_length_b 5.8707
_cell_length_c 15.2515
_cell_angle_alpha 90.00
_cell_angle_beta 90.00
_cell_angle_gamma 120.00
loop_
_atom_site_label
_atom_site_type_symbol
_atom_site_fract_x
_atom_site_fract_y
_atom_site_fract_z
_atom_site_occupancy
Na1 Na 0.0000 0.0000 0.0000 1
Y1 Y 0.0000 0.0000 0.2643 1
Y2 Y 0.0000 0.0000 0.7859 1
I1 I 0.0000 0.0000 0.4726 1
O1 O 0.0036 0.3129 0.8730 1
O2 O 0.0196 0.7480 0.3898 1
```

Most intense lines, 15 to 90 degrees two-theta, low angle first:
(hkl)  2θ/deg  I_rel
1 0 1  18.39  43
0 1 2  21.00  47
1 0 4  29.28  82
1 1 0  30.45  100
2 -1 3  35.31  38
0 2 4  42.75  38
2 -1 6  47.31  55
3 0 0  54.12  38


No. 4
Computed X-ray powder pattern
Compound: Na3Y3IO8
Radiation: Cu Kα, 1.54184 Å
Structure: a structure optimized by DFT (GGA-PBE)
Kinematic intensities with the Lorentz-polarization factor, no thermal factor.

Structural model:
```
data_Na3Y3IO8
_symmetry_space_group_name_H-M 'C 1 2/m 1'
_symmetry_Int_Tables_number 12
_cell_length_a 12.2557
_cell_length_b 6.7778
_cell_length_c 6.7161
_cell_angle_alpha 90.00
_cell_angle_beta 122.92
_cell_angle_gamma 90.00
loop_
_symmetry_equiv_pos_as_xyz
'x,y,z'
'-x,-y,-z'
'-x,y,-z'
'x,-y,z'
'x+1/2,y+1/2,z'
'-x+1/2,-y+1/2,-z'
'-x+1/2,y+1/2,-z'
'x+1/2,-y+1/2,z'
loop_
_atom_site_label
_atom_site_type_symbol
_atom_site_fract_x
_atom_site_fract_y
_atom_site_fract_z
_atom_site_occupancy
Na1 Na 0.0000 0.0000 0.0000 1
Na2 Na 0.2500 0.2500 0.5000 1
Y1 Y 0.0000 0.5000 0.5000 1
Y2 Y 0.2500 0.2500 0.0000 1
I1 I 0.0000 0.0000 0.5000 1
O1 O 0.0228 0.2310 0.7370 1
O2 O 0.2246 0.5000 0.7433 1
O3 O 0.2449 0.5000 0.2176 1
```

Most intense lines, 15 to 90 degrees two-theta, low angle first:
(hkl)  2θ/deg  I_rel
2 0 -1  15.80  100
2 0 1  29.18  18
0 2 1  30.78  29
2 2 0  31.62  31
4 0 0  34.88  36
2 2 -2  37.71  58
2 2 2  52.20  21
6 2 -2  52.42  19


No. 5
Computed X-ray powder pattern
Compound: NaZrIO6
Radiation: Cu Kα, 1.54184 Å
Structure: a structure optimized by DFT (GGA-PBE)
Kinematic intensities with the Lorentz-polarization factor, no thermal factor.

Structural model:
```
data_NaZrIO6
_symmetry_space_group_name_H-M 'P 42 n m'
_symmetry_Int_Tables_number 102
_cell_length_a 4.9323
_cell_length_b 4.9323
_cell_length_c 9.5567
_cell_angle_alpha 90.00
_cell_angle_beta 90.00
_cell_angle_gamma 90.00
loop_
_symmetry_equiv_pos_as_xyz
'x,y,z'
'-y+1/2,x+1/2,z+1/2'
'-x,-y,z'
'y+1/2,-x+1/2,z+1/2'
'-x+1/2,y+1/2,z+1/2'
'y,x,z'
'x+1/2,-y+1/2,z+1/2'
'-y,-x,z'
loop_
_atom_site_label
_atom_site_type_symbol
_atom_site_fract_x
_atom_site_fract_y
_atom_site_fract_z
_atom_site_occupancy
Na1 Na 0.0000 0.0000 0.0000 1
Zr1 Zr 0.0000 0.0000 0.6734 1
I1 I 0.0000 0.0000 0.3321 1
O1 O 0.1751 0.1751 0.4851 1
O2 O 0.1960 0.1960 0.1942 1
O3 O 0.2274 0.2274 0.8172 1
```

Most intense lines, 15 to 90 degrees two-theta, low angle first:
(hkl)  2θ/deg  I_rel
0 0 2  18.57  23
1 0 1  20.26  51
1 1 0  25.54  100
1 0 3  33.49  68
2 0 0  36.43  16
2 1 3  50.31  63
2 2 0  52.47  18
3 0 3  63.70  20


No. 6
Computed X-ray powder pattern
Compound: Rb2NaOsI6
Radiation: Cu Kα, 1.54184 Å
Structure: a structure optimized by DFT (GGA-PBE)
Kinematic intensities with the Lorentz-polarization factor, no thermal factor.

Structural model:
```
data_Rb2NaOsI6
_symmetry_space_group_name_H-M 'F m -3 m'
_symmetry_Int_Tables_number 225
_symmetry_space_group_name_Hall '-F 4 2 3'
_cell_length_a 11.7350
_cell_length_b 11.7350
_cell_length_c 11.7350
_cell_angle_alpha 90.00
_cell_angle_beta 90.00
_cell_angle_gamma 90.00
loop_
_atom_site_label
_atom_site_type_symbol
_atom_site_fract_x
_atom_site_fract_y
_atom_site_fract_z
_atom_site_occupancy
Rb1 Rb 0.2500 0.2500 0.2500 1
Na1 Na 0.0000 0.0000 0.0000 1
Os1 Os 0.0000 0.0000 0.5000 1
I1 I 0.0000 0.0000 0.2685 1
```

Most intense lines, 15 to 90 degrees two-theta, low angle first:
(hkl)  2θ/deg  I_rel
2 0 0  15.10  38
2 2 2  26.31  77
4 0 0  30.47  100
5 1 1  39.92  20
4 4 0  43.63  70
6 2 2  51.67  30
4 4 4  54.15  23
8 4 0  71.97  27


No. 7
Computed X-ray powder pattern
Compound: Na2ScOsI
Radiation: Cu Kα, 1.54184 Å
Structure: a structure optimized by DFT (GGA-PBE)
Kinematic intensities with the Lorentz-polarization factor, no thermal factor.

Structural model:
```
data_Na2ScOsI
_symmetry_space_group_name_H-M 'P 4/m m m'
_symmetry_Int_Tables_number 123
_symmetry_space_group_name_Hall '-P 4 2'
_cell_length_a 5.5459
_cell_length_b 5.5459
_cell_length_c 4.9174
_cell_angle_alpha 90.00
_cell_angle_beta 90.00
_cell_angle_gamma 90.00
loop_
_atom_site_label
_atom_site_type_symbol
_atom_site_fract_x
_atom_site_fract_y
_atom_site_fract_z
_atom_site_occupancy
Na1 Na 0.0000 0.5000 0.0000 1
Sc1 Sc 0.0000 0.0000 0.5000 1
Os1 Os 0.5000 0.5000 0.0000 1
I1 I 0.5000 0.5000 0.5000 1
```

Most intense lines, 15 to 90 degrees two-theta, low angle first:
(hkl)  2θ/deg  I_rel
1 0 0  15.98  100
1 1 0  22.67  60
2 0 0  32.28  43
2 1 0  36.22  27
1 0 2  40.12  21
1 1 2  43.44  22
2 0 2  49.55  25
2 1 2  52.40  19


No. 8
Computed X-ray powder pattern
Compound: Na3PaI7
Radiation: Cu Kα, 1.54184 Å
Structure: a structure optimized by DFT (GGA-PBE)
Kinematic intensities with the Lorentz-polarization factor, no thermal factor.

Structural model:
```
data_Na3PaI7
_symmetry_space_group_name_H-M 'C 1 m 1'
_symmetry_Int_Tables_number 8
_cell_length_a 13.9152
_cell_length_b 9.3622
_cell_length_c 8.5382
_cell_angle_alpha 90.00
_cell_angle_beta 117.64
_cell_angle_gamma 90.00
loop_
_symmetry_equiv_pos_as_xyz
'x,y,z'
'x,-y,z'
'x+1/2,y+1/2,z'
'x+1/2,-y+1/2,z'
loop_
_atom_site_label
_atom_site_type_symbol
_atom_site_fract_x
_atom_site_fract_y
_atom_site_fract_z
_atom_site_occupancy
Na1 Na 0.0000 0.0000 0.0000 1
Na2 Na 0.0305 0.2795 0.4477 1
Pa1 Pa 0.1207 0.5000 0.0290 1
I1 I 0.1876 0.2318 0.2694 1
I2 I 0.2073 0.5000 0.7467 1
I3 I 0.3977 0.5000 0.2573 1
I4 I 0.4318 0.0000 0.1338 1
I5 I 0.4678 0.2248 0.7588 1
```

Most intense lines, 15 to 90 degrees two-theta, low angle first:
(hkl)  2θ/deg  I_rel
1 1 1  18.91  23
0 2 1  22.33  28
2 2 -1  23.48  67
4 0 -2  27.58  39
2 2 1  29.53  100
3 1 -3  33.33  22
2 2 -3  37.02  39
0 4 0  38.44  34


No. 9
Computed X-ray powder pattern
Compound: NaPaI6
Radiation: Cu Kα, 1.54184 Å
Structure: a structure optimized by DFT (GGA-PBE)
Kinematic intensities with the Lorentz-polarization factor, no thermal factor.

Structural model:
```
data_NaPaI6
_symmetry_space_group_name_H-M 'C 1 2/m 1'
_symmetry_Int_Tables_number 12
_cell_length_a 7.8054
_cell_length_b 14.1584
_cell_length_c 7.7296
_cell_angle_alpha 90.00
_cell_angle_beta 109.64
_cell_angle_gamma 90.00
loop_
_symmetry_equiv_pos_as_xyz
'x,y,z'
'-x,-y,-z'
'-x,y,-z'
'x,-y,z'
'x+1/2,y+1/2,z'
'-x+1/2,-y+1/2,-z'
'-x+1/2,y+1/2,-z'
'x+1/2,-y+1/2,z'
loop_
_atom_site_label
_atom_site_type_symbol
_atom_site_fract_x
_atom_site_fract_y
_atom_site_fract_z
_atom_site_occupancy
Na1 Na 0.0000 0.0000 0.0000 1
Pa1 Pa 0.0000 0.5000 0.5000 1
I1 I 0.2288 0.3501 0.7354 1
I2 I 0.2340 0.5000 0.2722 1
```

Most intense lines, 15 to 90 degrees two-theta, low angle first:
(hkl)  2θ/deg  I_rel
1 1 -1  15.30  37
1 3 -1  23.49  35
2 0 0  24.21  19
1 3 1  27.47  100
2 0 -2  28.11  50
0 6 0  38.14  18
3 3 -1  39.55  34
1 3 -3  39.86  34


No. 10
Computed X-ray powder pattern
Compound: Na2PbI4
Radiation: Cu Kα, 1.54184 Å
Structure: a structure optimized by DFT (GGA-PBE)
Kinematic intensities with the Lorentz-polarization factor, no thermal factor.

Structural model:
```
data_Na2PbI4
_symmetry_space_group_name_H-M 'C 1 2/m 1'
_symmetry_Int_Tables_number 12
_cell_length_a 16.5420
_cell_length_b 4.7178
_cell_length_c 8.1214
_cell_angle_alpha 90.00
_cell_angle_beta 115.54
_cell_angle_gamma 90.00
loop_
_symmetry_equiv_pos_as_xyz
'x,y,z'
'-x,-y,-z'
'-x,y,-z'
'x,-y,z'
'x+1/2,y+1/2,z'
'-x+1/2,-y+1/2,-z'
'-x+1/2,y+1/2,-z'
'x+1/2,-y+1/2,z'
loop_
_atom_site_label
_atom_site_type_symbol
_atom_site_fract_x
_atom_site_fract_y
_atom_site_fract_z
_atom_site_occupancy
Na1 Na 0.2227 0.0000 0.1913 1
Pb1 Pb 0.0000 0.5000 0.5000 1
I1 I 0.1191 0.5000 0.9361 1
I2 I 0.1367 0.0000 0.4866 1
```

Most intense lines, 15 to 90 degrees two-theta, low angle first:
(hkl)  2θ/deg  I_rel
1 1 0  19.74  23
0 0 2  24.29  53
3 1 -1  25.24  100
3 1 1  31.97  39
5 1 -1  33.08  30
0 2 0  38.15  27
3 1 -3  38.40  48
5 1 1  41.91  22


No. 11
Computed X-ray powder pattern
Compound: Na2Pb3I8
Radiation: Cu Kα, 1.54184 Å
Structure: a structure optimized by DFT (GGA-PBE)
Kinematic intensities with the Lorentz-polarization factor, no thermal factor.

Structural model:
```
data_Na2Pb3I8
_symmetry_space_group_name_H-M 'C 1 2/m 1'
_symmetry_Int_Tables_number 12
_cell_length_a 15.4044
_cell_length_b 9.2931
_cell_length_c 8.1693
_cell_angle_alpha 90.00
_cell_angle_beta 96.15
_cell_angle_gamma 90.00
loop_
_symmetry_equiv_pos_as_xyz
'x,y,z'
'-x,-y,-z'
'-x,y,-z'
'x,-y,z'
'x+1/2,y+1/2,z'
'-x+1/2,-y+1/2,-z'
'-x+1/2,y+1/2,-z'
'x+1/2,-y+1/2,z'
loop_
_atom_site_label
_atom_site_type_symbol
_atom_site_fract_x
_atom_site_fract_y
_atom_site_fract_z
_atom_site_occupancy
Na1 Na 0.2193 0.0000 0.0641 1
Pb1 Pb 0.0000 0.2490 0.5000 1
Pb2 Pb 0.0000 0.5000 0.0000 1
I1 I 0.1224 0.0000 0.3813 1
I2 I 0.1224 0.5000 0.3492 1
I3 I 0.1268 0.2620 0.8513 1
```

Most intense lines, 15 to 90 degrees two-theta, low angle first:
(hkl)  2θ/deg  I_rel
2 2 -1  24.39  100
2 0 2  25.91  56
4 2 -1  31.35  47
4 2 1  33.11  42
0 2 3  38.48  37
0 4 0  38.76  22
6 0 -2  39.63  22
6 2 1  42.93  23